(1)
# NaTl2Sb4
Computed XRD peak list, Cu Kα X-rays. Input: a cell relaxed with GGA-PBE.
Neutral-atom scattering factors, no anomalous dispersion.

The 6 most intense peaks (2θ from 10° to 90°), low angle first:
(1 1 0), d = 5.676 Å, I = 855; (1 3 0), d = 3.206 Å, I = 255; (2 2 0), d = 2.838 Å, I = 804; (2 2 -2), d = 2.759 Å, I = 1000; (0 4 0), d = 2.747 Å, I = 411; (0 0 2), d = 2.332 Å, I = 232

Structural model:
abc: 9.0742 10.9893 6.3850
angles: 90.00 133.08 90.00
Space group C2 (No. 5)
Asymmetric unit:
Na1 0.0000 0.0000 0.0000 (multiplicity 2)
Tl1 0.0000 0.4760 0.5000 (multiplicity 2)
Tl2 0.0000 0.4771 0.0000 (multiplicity 2)
Sb1 0.1987 0.7367 0.4472 (multiplicity 4)
Sb2 0.2329 0.7339 0.9818 (multiplicity 4)



(2)
# Na3TlSb2
Computed XRD peak list, Cu Kα X-rays. Input: a cell relaxed with GGA-PBE.
Neutral-atom scattering factors, no anomalous dispersion.

The 6 most intense peaks (2θ from 10° to 90°), low angle first:
(1 1 0), d = 6.454 Å, I = 525; (1 2 1), d = 4.332 Å, I = 1000; (0 0 2), d = 4.105 Å, I = 510; (1 1 2), d = 3.464 Å, I = 394; (1 3 2), d = 2.864 Å, I = 419; (2 4 0), d = 2.550 Å, I = 548

Structural model:
abc: 7.2188 14.4083 8.2109
angles: 90.00 90.00 90.00
Space group Ibam (No. 72)
Asymmetric unit:
Na1 0.0000 0.0000 0.2500 (multiplicity 4)
Na2 0.0000 0.2655 0.2500 (multiplicity 8)
Tl1 0.0000 0.5000 0.0000 (multiplicity 4)
Sb1 0.2304 0.1344 0.0000 (multiplicity 8)



(3)
# NaTlZnSb
Computed XRD peak list, Cu Kα X-rays. Input: a cell relaxed with GGA-PBE.
Neutral-atom scattering factors, no anomalous dispersion.

The 6 most intense peaks (2θ from 10° to 90°), low angle first:
(2 0 0), d = 3.705 Å, I = 353; (2 2 0), d = 2.620 Å, I = 1000; (4 0 0), d = 1.852 Å, I = 179; (4 2 0), d = 1.657 Å, I = 151; (4 2 2), d = 1.512 Å, I = 366; (6 2 0), d = 1.172 Å, I = 157

Structural model:
abc: 7.4093 7.4093 7.4093
angles: 90.00 90.00 90.00
Space group F-43m (No. 216)
Asymmetric unit:
Na1 0.0000 0.0000 0.0000 (multiplicity 4)
Tl1 0.2500 0.2500 0.7500 (multiplicity 4)
Zn1 0.0000 0.0000 0.5000 (multiplicity 4)
Sb1 0.2500 0.2500 0.2500 (multiplicity 4)



(4)
# Na3VSb
Computed XRD peak list, Cu Kα X-rays. Input: a cell relaxed with GGA-PBE.
Neutral-atom scattering factors, no anomalous dispersion.

The 6 most intense peaks (2θ from 10° to 90°), low angle first:
(1 0 0), d = 5.860 Å, I = 447; (1 1 0), d = 4.144 Å, I = 1000; (2 0 0), d = 2.930 Å, I = 569; (2 1 0), d = 2.621 Å, I = 251; (2 1 1), d = 2.392 Å, I = 458; (2 2 0), d = 2.072 Å, I = 410

Structural model:
abc: 5.8602 5.8602 5.8602
angles: 90.00 90.00 90.00
Space group Pm-3m (No. 221)
Asymmetric unit:
Na1 0.0000 0.0000 0.5000 (multiplicity 3)
V1 0.5000 0.5000 0.5000 (multiplicity 1)
Sb1 0.0000 0.0000 0.0000 (multiplicity 1)



Copy entry 3 word for word.
# NaTlZnSb
Computed XRD peak list, Cu Kα X-rays. Input: a cell relaxed with GGA-PBE.
Neutral-atom scattering factors, no anomalous dispersion.

The 6 most intense peaks (2θ from 10° to 90°), low angle first:
(2 0 0), d = 3.705 Å, I = 353; (2 2 0), d = 2.620 Å, I = 1000; (4 0 0), d = 1.852 Å, I = 179; (4 2 0), d = 1.657 Å, I = 151; (4 2 2), d = 1.512 Å, I = 366; (6 2 0), d = 1.172 Å, I = 157

Structural model:
abc: 7.4093 7.4093 7.4093
angles: 90.00 90.00 90.00
Space group F-43m (No. 216)
Asymmetric unit:
Na1 0.0000 0.0000 0.0000 (multiplicity 4)
Tl1 0.2500 0.2500 0.7500 (multiplicity 4)
Zn1 0.0000 0.0000 0.5000 (multiplicity 4)
Sb1 0.2500 0.2500 0.2500 (multiplicity 4)